Simulated powder XRD pattern of NdEr6Tm6 for Cu Kα, from a DFT-relaxed cell (PBE, Alexandria).
Neutral-atom scattering factors, no anomalous dispersion.

Cell and atoms:
Unit cell a=6.5173 b=10.8846 c=6.5389 alpha=90.00 beta=115.69 gamma=90.00
Positions (direct):
Nd (0.0000, 0.0000, 0.0000)
Er (0.0000, 0.3371, 0.0000)
Er (0.0000, 0.6629, 0.0000)
Er (0.2660, 0.5000, 0.7386)
Er (0.3437, 0.0000, 0.6309)
Er (0.6563, 0.0000, 0.3691)
Er (0.7340, 0.5000, 0.2614)
Tm (0.0000, 0.2307, 0.5000)
Tm (0.0000, 0.7693, 0.5000)
Tm (0.5000, 0.2232, 0.0000)
Tm (0.5000, 0.3012, 0.5000)
Tm (0.5000, 0.6988, 0.5000)
Tm (0.5000, 0.7768, 0.0000)

Largest 10 diffraction maxima, by angle, 10° ≤ 2θ ≤ 90°:
| d [Å] | I_rel | h k l |
| --- | --- | --- |
| 3.033 | 72.3 | 1 3 -1 |
| 2.946 | 26.0 | 0 0 2 |
| 2.931 | 63.6 | 2 0 0 |
| 2.793 | 29.5 | 2 2 -1 |
| 2.763 | 38.5 | 2 0 -2 |
| 2.721 | 26.4 | 0 4 0 |
| 2.587 | 100.0 | 2 2 0 |
| 2.509 | 27.8 | 1 3 1 |
| 2.465 | 27.6 | 2 2 -2 |
| 2.285 | 20.9 | 0 3 2 |